1.
Starting from a structure optimized by DFT (PBE), the X-ray diffraction stick pattern of U5Pd was calculated for copper Kα.
No peak broadening, texture or thermal motion is included.

Crystal structure
abc: 8.1410 8.1410 3.0312
angles: 90.00 90.00 143.52
Sites, in units of the cell vectors:
U1 0.0000 0.0000 0.0000
U2 0.1568 0.8432 0.5000
U3 0.3261 0.6739 0.0000
U4 0.6739 0.3261 0.0000
U5 0.8432 0.1568 0.5000
Pd1 0.5000 0.5000 0.5000

Main lines, by angle (10 to 80 degrees two-theta):
d_spacing	I (rel.)
2.577	31
2.548	33
2.325	100
1.812	23
1.434	19
1.424	22



2.
Starting from a structure optimized by DFT (PBE), the X-ray diffraction stick pattern of UZn4Pd15 was calculated for copper Kα.
No peak broadening, texture or thermal motion is included.

Crystal structure
abc: 4.0220 4.0220 19.1898
angles: 90.00 90.00 90.00
Sites, in units of the cell vectors:
U1 0.0000 0.0000 0.0000
Zn1 0.0000 0.0000 0.2106
Zn2 0.0000 0.0000 0.4023
Zn3 0.0000 0.0000 0.5977
Zn4 0.0000 0.0000 0.7894
Pd1 0.0000 0.5000 0.1052
Pd2 0.0000 0.5000 0.3060
Pd3 0.0000 0.5000 0.5000
Pd4 0.0000 0.5000 0.6940
Pd5 0.0000 0.5000 0.8948
Pd6 0.5000 0.0000 0.1052
Pd7 0.5000 0.0000 0.3060
Pd8 0.5000 0.0000 0.5000
Pd9 0.5000 0.0000 0.6940
Pd10 0.5000 0.0000 0.8948
Pd11 0.5000 0.5000 0.0000
Pd12 0.5000 0.5000 0.2063
Pd13 0.5000 0.5000 0.4037
Pd14 0.5000 0.5000 0.5963
Pd15 0.5000 0.5000 0.7937

Main lines, by angle (10 to 80 degrees two-theta):
d_spacing	I (rel.)
2.285	100
2.011	35
1.919	14
1.422	11
1.388	19
1.207	25



3.
Starting from a structure optimized by DFT (PBE), the X-ray diffraction stick pattern of V3Pd4 was calculated for copper Kα.
No peak broadening, texture or thermal motion is included.

Crystal structure
abc: 6.4746 6.4746 6.6392
angles: 114.43 114.43 24.25
Sites, in units of the cell vectors:
V1 0.0000 0.0000 0.0000
V2 0.2272 0.2272 0.1483
V3 0.7728 0.7728 0.8517
Pd1 0.0790 0.0790 0.7139
Pd2 0.3593 0.3593 0.6151
Pd3 0.6407 0.6407 0.3849
Pd4 0.9210 0.9210 0.2861

Main lines, by angle (10 to 80 degrees two-theta):
d_spacing	I (rel.)
2.340	31
2.268	100
2.246	68
2.206	55
2.054	48
1.897	52